Entry 1:
DyHf2NiN4: computed PXRD pattern (CuKα), based on a crystal structure in Alexandria, relaxed with GGA-PBE.

Largest 8 diffraction maxima, low angle first, 2θ = 10–80°:
29.39 deg, rel. 100, (0 2 3)
33.16 deg, rel. 63, (0 4 0)
33.42 deg, rel. 95, (1 1 2)
38.51 deg, rel. 32, (1 3 1)
41.13 deg, rel. 78, (1 3 2)
50.99 deg, rel. 30, (1 1 5)
53.82 deg, rel. 22, (1 5 2)
56.77 deg, rel. 23, (1 3 5)

```
data_DyHf2NiN4
_space_group_name_H-M_alt 'C m c m'
_space_group_IT_number 63
_space_group_name_Hall '-C 2c 2'
_cell_length_a 3.200
_cell_length_b 10.806
_cell_length_c 11.027
_cell_angle_alpha 90.00
_cell_angle_beta 90.00
_cell_angle_gamma 90.00
loop_
_atom_site_label
_atom_site_type_symbol
_atom_site_fract_x
_atom_site_fract_y
_atom_site_fract_z
_atom_site_occupancy
Dy1 Dy 0.000 0.112 0.250 1
Hf1 Hf 0.000 0.368 0.056 1
Ni1 Ni 0.000 0.152 0.750 1
N1 N 0.000 0.000 0.000 1
N2 N 0.000 0.269 0.613 1
N3 N 0.000 0.451 0.250 1
```


Entry 2:
Dy2HfTe2N2: computed PXRD pattern (CuKα), based on a crystal structure in Alexandria, relaxed with GGA-PBE.

Largest 8 diffraction maxima, low angle first, 2θ = 10–80°:
10.01 deg, rel. 44, (0 0 2)
30.18 deg, rel. 83, (1 1 0)
33.16 deg, rel. 100, (1 0 5)
41.76 deg, rel. 31, (1 0 7)
43.21 deg, rel. 36, (2 0 0)
55.53 deg, rel. 46, (2 1 5)
61.66 deg, rel. 20, (2 1 7)
71.21 deg, rel. 15, (3 1 0)

```
data_Dy2HfTe2N2
_space_group_name_H-M_alt 'I 4/m m m'
_space_group_IT_number 139
_space_group_name_Hall '-I 4 2'
_cell_length_a 4.187
_cell_length_b 4.187
_cell_length_c 17.681
_cell_angle_alpha 90.00
_cell_angle_beta 90.00
_cell_angle_gamma 90.00
loop_
_atom_site_label
_atom_site_type_symbol
_atom_site_fract_x
_atom_site_fract_y
_atom_site_fract_z
_atom_site_occupancy
Dy1 Dy 0.000 0.000 0.091 1
Hf1 Hf 0.000 0.000 0.500 1
Te1 Te 0.000 0.000 0.331 1
N1 N 0.000 0.500 0.000 1
```


Entry 3:
DyHfTh2N4: computed PXRD pattern (CuKα), based on a crystal structure in Alexandria, relaxed with GGA-PBE.

Largest 8 diffraction maxima, low angle first, 2θ = 10–80°:
30.81 deg, rel. 39, (0 0 2)
31.45 deg, rel. 37, (2 0 0)
31.63 deg, rel. 73, (1 1 -1)
36.40 deg, rel. 100, (1 1 1)
51.76 deg, rel. 12, (2 0 2)
52.00 deg, rel. 24, (1 1 -3)
52.83 deg, rel. 23, (3 1 -1)
61.57 deg, rel. 12, (1 1 3)

```
data_DyHfTh2N4
_space_group_name_H-M_alt 'P 1 2/m 1'
_space_group_IT_number 10
_space_group_name_Hall '-P 2y'
_cell_length_a 6.012
_cell_length_b 3.451
_cell_length_c 6.133
_cell_angle_alpha 90.00
_cell_angle_beta 108.84
_cell_angle_gamma 90.00
loop_
_atom_site_label
_atom_site_type_symbol
_atom_site_fract_x
_atom_site_fract_y
_atom_site_fract_z
_atom_site_occupancy
Dy1 Dy 0.000 0.000 0.000 1
Hf1 Hf 0.500 0.500 0.000 1
Th1 Th 0.000 0.500 0.500 1
Th2 Th 0.500 0.000 0.500 1
N1 N 0.260 0.500 0.226 1
N2 N 0.275 0.000 0.782 1
```


Entry 4:
Dy2TmHfN4: computed PXRD pattern (CuKα), based on a crystal structure in Alexandria, relaxed with GGA-PBE.

Largest 8 diffraction maxima, low angle first, 2θ = 10–80°:
32.42 deg, rel. 72, (2 0 0)
32.56 deg, rel. 71, (1 1 -1)
37.69 deg, rel. 100, (1 1 1)
54.14 deg, rel. 11, (2 0 2)
54.31 deg, rel. 23, (1 1 -3)
54.46 deg, rel. 34, (0 2 0)
64.69 deg, rel. 16, (2 0 -4)
64.87 deg, rel. 37, (4 0 -2)

```
data_Dy2TmHfN4
_space_group_name_H-M_alt 'P 1 2/m 1'
_space_group_IT_number 10
_space_group_name_Hall '-P 2y'
_cell_length_a 5.841
_cell_length_b 3.367
_cell_length_c 5.858
_cell_angle_alpha 90.00
_cell_angle_beta 109.21
_cell_angle_gamma 90.00
loop_
_atom_site_label
_atom_site_type_symbol
_atom_site_fract_x
_atom_site_fract_y
_atom_site_fract_z
_atom_site_occupancy
Dy1 Dy 0.000 0.000 0.000 1
Dy2 Dy 0.500 0.500 0.000 1
Tm1 Tm 0.000 0.500 0.500 1
Hf1 Hf 0.500 0.000 0.500 1
N1 N 0.257 0.000 0.737 1
N2 N 0.266 0.500 0.269 1
```


Entry 5:
DyY2HfN4: computed PXRD pattern (CuKα), based on a crystal structure in Alexandria, relaxed with GGA-PBE.

Largest 8 diffraction maxima, low angle first, 2θ = 10–80°:
15.95 deg, rel. 20, (0 0 1)
30.90 deg, rel. 12, (1 1 0)
32.21 deg, rel. 66, (2 0 0)
32.35 deg, rel. 65, (1 1 -1)
37.45 deg, rel. 100, (1 1 1)
54.01 deg, rel. 45, (3 1 -1)
64.17 deg, rel. 19, (3 1 1)
64.40 deg, rel. 38, (4 0 -2)

```
data_DyY2HfN4
_space_group_name_H-M_alt 'P 1 2/m 1'
_space_group_IT_number 10
_space_group_name_Hall '-P 2y'
_cell_length_a 5.885
_cell_length_b 3.388
_cell_length_c 5.886
_cell_angle_alpha 90.00
_cell_angle_beta 109.21
_cell_angle_gamma 90.00
loop_
_atom_site_label
_atom_site_type_symbol
_atom_site_fract_x
_atom_site_fract_y
_atom_site_fract_z
_atom_site_occupancy
Dy1 Dy 0.000 0.000 0.000 1
Y1 Y 0.000 0.500 0.500 1
Y2 Y 0.500 0.000 0.500 1
Hf1 Hf 0.500 0.500 0.000 1
N1 N 0.260 0.500 0.238 1
N2 N 0.268 0.000 0.768 1
```


Entry 6:
DyHf2Zr3N6: computed PXRD pattern (CuKα), based on a crystal structure in Alexandria, relaxed with GGA-PBE.

Largest 8 diffraction maxima, low angle first, 2θ = 10–80°:
16.53 deg, rel. 19, (2 0 -1)
33.39 deg, rel. 67, (2 0 2)
33.62 deg, rel. 66, (3 1 0)
38.88 deg, rel. 100, (6 0 0)
55.84 deg, rel. 11, (2 0 -4)
56.17 deg, rel. 44, (7 1 -2)
66.79 deg, rel. 19, (1 1 4)
67.14 deg, rel. 19, (9 1 0)

```
data_DyHf2Zr3N6
_space_group_name_H-M_alt 'C 1 2/m 1'
_space_group_IT_number 12
_space_group_name_Hall '-C 2y'
_cell_length_a 14.272
_cell_length_b 3.260
_cell_length_c 6.585
_cell_angle_alpha 90.00
_cell_angle_beta 103.26
_cell_angle_gamma 90.00
loop_
_atom_site_label
_atom_site_type_symbol
_atom_site_fract_x
_atom_site_fract_y
_atom_site_fract_z
_atom_site_occupancy
Dy1 Dy 0.000 0.000 0.000 1
Hf1 Hf 0.167 0.500 0.334 1
Zr1 Zr 0.000 0.000 0.500 1
Zr2 Zr 0.166 0.500 0.832 1
N1 N 0.005 0.500 0.262 1
N2 N 0.169 0.000 0.576 1
N3 N 0.171 0.000 0.095 1
```


Entry 7:
NdDyHf: computed PXRD pattern (CuKα), based on a crystal structure in Alexandria, relaxed with GGA-PBE.

Largest 8 diffraction maxima, low angle first, 2θ = 10–80°:
27.52 deg, rel. 15, (1 0 2)
31.75 deg, rel. 100, (1 0 3)
33.68 deg, rel. 68, (1 1 0)
35.17 deg, rel. 12, (0 0 5)
36.94 deg, rel. 23, (1 0 4)
48.37 deg, rel. 25, (2 0 0)
49.48 deg, rel. 18, (1 1 5)
59.02 deg, rel. 34, (2 1 3)

```
data_NdDyHf
_space_group_name_H-M_alt 'P 4/n m m'
_space_group_IT_number 129
_cell_length_a 3.764
_cell_length_b 3.764
_cell_length_c 12.760
_cell_angle_alpha 90.00
_cell_angle_beta 90.00
_cell_angle_gamma 90.00
loop_
_space_group_symop_operation_xyz
'x,y,z'
'-x,-y,-z'
'-y+1/2,x,z'
'y+1/2,-x,-z'
'-x+1/2,-y+1/2,z'
'x+1/2,y+1/2,-z'
'y,-x+1/2,z'
'-y,x+1/2,-z'
'x+1/2,-y,-z'
'-x+1/2,y,z'
'-y,-x,-z'
'y,x,z'
'-x,y+1/2,-z'
'x,-y+1/2,z'
'y+1/2,x+1/2,-z'
'-y+1/2,-x+1/2,z'
loop_
_atom_site_label
_atom_site_type_symbol
_atom_site_fract_x
_atom_site_fract_y
_atom_site_fract_z
_atom_site_occupancy
Nd1 Nd 0.250 0.250 0.098 1
Dy1 Dy 0.250 0.250 0.702 1
Hf1 Hf 0.250 0.250 0.449 1
```


Entry 8:
NdDy14Hf: computed PXRD pattern (CuKα), based on a crystal structure in Alexandria, relaxed with GGA-PBE.

Largest 8 diffraction maxima, low angle first, 2θ = 10–80°:
31.12 deg, rel. 100, (2 0 2)
36.04 deg, rel. 34, (2 2 0)
36.21 deg, rel. 17, (0 0 4)
51.88 deg, rel. 12, (4 0 0)
52.01 deg, rel. 24, (2 2 4)
61.75 deg, rel. 28, (4 2 2)
61.98 deg, rel. 14, (2 0 6)
64.90 deg, rel. 12, (4 0 4)

```
data_NdDy14Hf
_space_group_name_H-M_alt 'P 4/m m m'
_space_group_IT_number 123
_space_group_name_Hall '-P 4 2'
_cell_length_a 7.049
_cell_length_b 7.049
_cell_length_c 9.923
_cell_angle_alpha 90.00
_cell_angle_beta 90.00
_cell_angle_gamma 90.00
loop_
_atom_site_label
_atom_site_type_symbol
_atom_site_fract_x
_atom_site_fract_y
_atom_site_fract_z
_atom_site_occupancy
Nd1 Nd 0.000 0.000 0.000 1
Dy1 Dy 0.000 0.000 0.500 1
Dy2 Dy 0.000 0.500 0.000 1
Dy3 Dy 0.000 0.500 0.500 1
Dy4 Dy 0.256 0.256 0.245 1
Dy5 Dy 0.500 0.500 0.500 1
Hf1 Hf 0.500 0.500 0.000 1
```